Calculated powder X-ray diffraction pattern of K2V4Se7 for Cu Kα, 1.54184 Å, from DFT lattice parameters and positions (PBE).
Lines closer than 0.1° are merged.

Principal peaks in the range 10° ≤ 2θ ≤ 90°, low angle first:
d [Å]  intensity
8.796  46
4.785  18
3.083  100
2.932  31
2.636  86
1.901  52
1.829  47
1.618  13
1.595  27
1.542  15
1.318  14
1.161  12

Atomic structure:
Cell lengths 6.5847, 6.5847, 8.7955 Å; angles 90.00, 90.00, 120.00 degrees
Positions (direct):
K: 0.3333 0.6667 0.0000
K: 0.6667 0.3333 0.0000
V: 0.0000 0.0000 0.2679
V: 0.0000 0.0000 0.7321
V: 0.3333 0.6667 0.5000
V: 0.6667 0.3333 0.5000
Se: 0.0000 0.0000 0.0000
Se: 0.0000 0.3552 0.3327
Se: 0.0000 0.6448 0.6673
Se: 0.3552 0.0000 0.3327
Se: 0.3552 0.3552 0.6673
Se: 0.6448 0.0000 0.6673
Se: 0.6448 0.6448 0.3327

---

Calculated powder X-ray diffraction pattern of KV4Se8 for Cu Kα, 1.54184 Å, from DFT lattice parameters and positions (PBE).
Lines closer than 0.1° are merged.

Principal peaks in the range 10° ≤ 2θ ≤ 90°, low angle first:
d [Å]  intensity
5.991  25
2.830  39
2.816  62
2.767  100
2.664  94
2.605  46
2.339  31
2.237  34
1.952  27
1.786  98
1.510  29
1.491  23

Atomic structure:
Cell lengths 8.7092, 8.7092, 12.0248 Å; angles 128.79, 128.79, 23.70 degrees
Positions (direct):
K: 0.0000 0.0000 0.0000
V: 0.1546 0.1546 0.4779
V: 0.3324 0.3324 0.1530
V: 0.6676 0.6676 0.8470
V: 0.8454 0.8454 0.5221
Se: 0.0387 0.0387 0.7391
Se: 0.2976 0.2976 0.9186
Se: 0.3412 0.3412 0.6713
Se: 0.3791 0.3791 0.4128
Se: 0.6209 0.6209 0.5872
Se: 0.6588 0.6588 0.3287
Se: 0.7024 0.7024 0.0814
Se: 0.9613 0.9613 0.2609

---

Calculated powder X-ray diffraction pattern of KV5Se8 for Cu Kα, 1.54184 Å, from DFT lattice parameters and positions (PBE).
Lines closer than 0.1° are merged.

Principal peaks in the range 10° ≤ 2θ ≤ 90°, low angle first:
d [Å]  intensity
8.683  28
7.198  21
2.894  23
2.838  100
2.815  46
2.714  56
2.647  24
2.401  40
2.278  38
2.228  17
1.840  29
1.802  50

Atomic structure:
Cell lengths 9.4808, 9.4808, 8.9564 Å; angles 103.92, 103.92, 22.38 degrees
Positions (direct):
K: 0.0000 0.0000 0.0000
V: 0.1505 0.1505 0.4909
V: 0.2118 0.2118 0.8478
V: 0.5000 0.5000 0.5000
V: 0.7882 0.7882 0.1522
V: 0.8495 0.8495 0.5091
Se: 0.0718 0.0718 0.6736
Se: 0.2603 0.2603 0.3437
Se: 0.3382 0.3382 0.0109
Se: 0.4130 0.4130 0.6800
Se: 0.5870 0.5870 0.3200
Se: 0.6618 0.6618 0.9891
Se: 0.7397 0.7397 0.6563
Se: 0.9282 0.9282 0.3264

---

Q: Which formula does entry 2 have?
A: KV4Se8